Entry 1:
Starting from a crystal structure in Alexandria, relaxed with PBE+U, the XRD peak list of Li2HoCoF8 was calculated for Cu Kα, 1.54184 Å.
No peak broadening, texture or thermal motion is included.

Atomic structure:
Lattice parameters (Å, degrees): 4.746 4.748 6.538 91.05 90.92 91.31
Space group P-1 (No. 2)
Symmetry-distinct sites (fractional):
1 Li 0.002 0.001 0.254 x2
2 Ho 0.500 0.500 0.500 x1
3 Co 0.500 0.500 0.000 x1
4 F 0.187 0.814 0.500 x2
5 F 0.234 0.767 0.001 x2
6 F 0.295 0.296 0.233 x2
7 F 0.306 0.308 0.776 x2

Top 6 peaks for 2θ = 10–90°, by angle:
hkl	two_theta	Rel. int.
1 0 0	18.70	100
1 -1 0	26.25	28
1 1 0	26.88	27
0 0 2	27.29	20
1 1 -2	38.18	23
1 -2 0	42.19	21

***

Entry 2:
Starting from a crystal structure in Alexandria, relaxed with PBE+U, the XRD peak list of RbHoCoF6 was calculated for Cu Kα, 1.54184 Å.
No peak broadening, texture or thermal motion is included.

Atomic structure:
Lattice parameters (Å, degrees): 7.311 7.595 10.353 90.00 90.00 90.00
Space group Imma (No. 74)
Symmetry-distinct sites (fractional):
1 Rb 0.000 0.250 0.095 x4
2 Ho 0.000 0.000 0.500 x4
3 Co 0.250 0.250 0.750 x4
4 F 0.000 0.250 0.391 x4
5 F 0.000 0.250 0.653 x4
6 F 0.239 0.052 0.883 x16

Top 6 peaks for 2θ = 10–90°, by angle:
hkl	two_theta	Rel. int.
1 0 1	14.83	70
1 2 1	27.84	100
0 1 3	28.42	59
0 2 2	29.17	45
2 0 2	29.92	60
2 2 4	49.37	69

***

Entry 3:
Starting from a crystal structure in Alexandria, relaxed with PBE+U, the XRD peak list of HoTl2Co3F12 was calculated for Cu Kα, 1.54184 Å.
No peak broadening, texture or thermal motion is included.

Atomic structure:
Lattice parameters (Å, degrees): 7.4715 7.4715 18.7899 90.00 90.00 120.00
Space group R-3m (No. 166, hexagonal axes)
Symmetry-distinct sites (fractional):
1 Ho 0.0000 0.0000 0.0000 x3
2 Tl 0.0000 0.0000 0.3976 x6
3 Co 0.0000 0.5000 0.5000 x9
4 F 0.0486 0.5243 0.6059 x18
5 F 0.0701 0.5351 0.8488 x18

Top 6 peaks for 2θ = 10–90°, by angle:
hkl	two_theta	Rel. int.
1 1 0	23.82	71
0 1 5	27.45	100
1 1 3	27.81	71
2 0 2	29.19	46
1 2 5	44.18	41
2 2 0	48.75	42

***

Please write out number 1 again, unchanged.
Starting from a crystal structure in Alexandria, relaxed with PBE+U, the XRD peak list of Li2HoCoF8 was calculated for Cu Kα, 1.54184 Å.
No peak broadening, texture or thermal motion is included.

Atomic structure:
Lattice parameters (Å, degrees): 4.746 4.748 6.538 91.05 90.92 91.31
Space group P-1 (No. 2)
Symmetry-distinct sites (fractional):
1 Li 0.002 0.001 0.254 x2
2 Ho 0.500 0.500 0.500 x1
3 Co 0.500 0.500 0.000 x1
4 F 0.187 0.814 0.500 x2
5 F 0.234 0.767 0.001 x2
6 F 0.295 0.296 0.233 x2
7 F 0.306 0.308 0.776 x2

Top 6 peaks for 2θ = 10–90°, by angle:
hkl	two_theta	Rel. int.
1 0 0	18.70	100
1 -1 0	26.25	28
1 1 0	26.88	27
0 0 2	27.29	20
1 1 -2	38.18	23
1 -2 0	42.19	21